La3TlIr: theoretical powder diffraction line list (Cu Ka), based on a cell relaxed with GGA-PBE.

Structural model:
Unit cell a=5.9555 b=5.9555 c=8.9982 alpha=90.00 beta=90.00 gamma=90.75
Positions (direct):
La 0.2472 0.7528 0.0000
La 0.2517 0.2517 0.3084
La 0.2517 0.2517 0.6916
La 0.7483 0.7483 0.3084
La 0.7483 0.7483 0.6916
La 0.7528 0.2472 0.0000
Tl 0.2480 0.7520 0.5000
Tl 0.7520 0.2480 0.5000
Ir 0.2529 0.2529 0.0000
Ir 0.7471 0.7471 0.0000

Largest 10 diffraction maxima, by intensity, 5° ≤ 2θ ≤ 70°:
d = 2.978 Å, I 100
d = 2.448 Å, I 23
d = 1.795 Å, I 22
d = 4.499 Å, I 22
d = 2.438 Å, I 22
d = 3.085 Å, I 21
d = 3.064 Å, I 21
d = 2.483 Å, I 20
d = 2.119 Å, I 19
d = 2.092 Å, I 19

---

RbH6Cl2: theoretical powder diffraction line list (Cu Ka), based on a cell relaxed with GGA-PBE.

Structural model:
Unit cell a=5.8014 b=5.8014 c=5.8014 alpha=120.86 beta=115.86 gamma=92.91
Positions (direct):
Rb 0.0000 0.0000 0.0000
H 0.3911 0.1760 0.7850
H 0.3911 0.6061 0.2150
H 0.5000 0.3435 0.8435
H 0.5000 0.6565 0.1565
H 0.6089 0.3939 0.7850
H 0.6089 0.8240 0.2150
Cl 0.2698 0.7698 0.5000
Cl 0.7302 0.2302 0.5000

Largest 10 diffraction maxima, by intensity, 5° ≤ 2θ ≤ 70°:
d = 2.893 Å, I 100
d = 4.655 Å, I 56
d = 3.080 Å, I 34
d = 4.879 Å, I 32
d = 2.569 Å, I 24
d = 2.863 Å, I 22
d = 1.740 Å, I 20
d = 1.859 Å, I 18
d = 2.097 Å, I 17
d = 2.469 Å, I 17